Computed X-ray powder pattern
Compound: Zr6Si7Ni16
Radiation: Cu Ka
Structure: a cell relaxed with GGA-PBE

The 10 most intense peaks (5° ≤ 2θ ≤ 70°), sorted by position:
two_theta	d (Å)	intensity
26.90	3.315	24
34.95	2.568	8
38.41	2.344	24
40.84	2.210	100
44.64	2.030	97
46.81	1.941	18
47.51	1.914	16
52.24	1.751	10
62.09	1.495	12
69.46	1.353	19

Structural model:
Cell lengths 8.119, 8.119, 8.119 Å; angles 60.00, 60.00, 60.00 degrees
Fractional coordinates of all 29 atoms:
1 Zr 0.207 0.207 0.793
2 Zr 0.207 0.793 0.207
3 Zr 0.207 0.793 0.793
4 Zr 0.793 0.207 0.207
5 Zr 0.793 0.207 0.793
6 Zr 0.793 0.793 0.207
7 Si 0.000 0.000 0.500
8 Si 0.000 0.500 0.000
9 Si 0.000 0.500 0.500
10 Si 0.500 0.000 0.000
11 Si 0.500 0.000 0.500
12 Si 0.500 0.500 0.000
13 Si 0.500 0.500 0.500
14 Ni 0.145 0.618 0.618
15 Ni 0.169 0.169 0.169
16 Ni 0.169 0.169 0.493
17 Ni 0.169 0.493 0.169
18 Ni 0.382 0.382 0.382
19 Ni 0.382 0.382 0.855
20 Ni 0.382 0.855 0.382
21 Ni 0.493 0.169 0.169
22 Ni 0.507 0.831 0.831
23 Ni 0.618 0.145 0.618
24 Ni 0.618 0.618 0.145
25 Ni 0.618 0.618 0.618
26 Ni 0.831 0.507 0.831
27 Ni 0.831 0.831 0.507
28 Ni 0.831 0.831 0.831
29 Ni 0.855 0.382 0.382